No. 1
Structure and theoretical powder diffraction line list of Tb2Pm3Sc2 (a cell relaxed with GGA-PBE; a wavelength of 1.5418 Å).
No peak broadening, texture or thermal motion is included.

Most intense lines, 2θ from 5° to 70°, most intense first:
two_theta  d (Å)  intensity
31.13  2.873  100.0
31.25  2.862  99.0
61.86  1.500  41.3
51.91  1.761  35.8
52.24  1.751  34.6
35.98  2.496  33.7
36.11  2.488  33.6
36.41  2.467  32.8
19.61  4.527  16.9
61.60  1.506  13.9

```
Tb2Pm3Sc2
1.0
5.5175 -2.4877 0.0000
5.5175 2.4877 0.0000
-1.1485 0.0000 7.8140
Tb Pm Sc
2 3 2
direct
0.1405 0.1405 0.4290 Tb
0.8595 0.8595 0.5710 Tb
0.0000 0.0000 0.0000 Pm
0.2858 0.2858 0.8552 Pm
0.7142 0.7142 0.1448 Pm
0.4279 0.4279 0.2944 Sc
0.5721 0.5721 0.7056 Sc
```


No. 2
Structure and theoretical powder diffraction line list of BaCeBeO4 (a cell relaxed with GGA-PBE; a wavelength of 1.5418 Å).
No peak broadening, texture or thermal motion is included.

Most intense lines, 2θ from 5° to 70°, most intense first:
two_theta  d (Å)  intensity
23.87  3.727  100.0
32.54  2.752  30.0
30.97  2.887  29.8
30.68  2.914  25.3
39.64  2.273  19.0
25.94  3.435  18.6
48.87  1.864  18.3
42.07  2.148  18.2
36.74  2.446  17.7
42.30  2.137  16.5

```
BaCeBeO4
1.0
5.3468 0.0000 0.0000
0.0000 5.5033 0.0000
-2.3188 0.0000 6.8703
Ba Ce Be O
2 2 2 8
direct
0.2166 0.2500 0.4265 Ba
0.7834 0.7500 0.5735 Ba
0.2709 0.2500 0.9523 Ce
0.7291 0.7500 0.0477 Ce
0.2759 0.7500 0.1761 Be
0.7241 0.2500 0.8239 Be
0.0762 0.7500 0.9480 O
0.0875 0.7500 0.3194 O
0.4773 0.5159 0.2034 O
0.4773 0.9841 0.2034 O
0.5227 0.0159 0.7966 O
0.5227 0.4841 0.7966 O
0.9125 0.2500 0.6806 O
0.9238 0.2500 0.0520 O
```


No. 3
Structure and theoretical powder diffraction line list of BaLi10Zn2 (a cell relaxed with GGA-PBE; a wavelength of 1.5418 Å).
No peak broadening, texture or thermal motion is included.

Most intense lines, 2θ from 5° to 70°, most intense first:
two_theta  d (Å)  intensity
25.27  3.525  100.0
11.76  7.522  64.6
36.42  2.467  62.2
14.81  5.983  56.7
25.34  3.515  44.8
18.07  4.910  44.0
36.60  2.455  43.6
21.53  4.127  38.3
23.92  3.720  37.3
23.66  3.761  37.1

```
BaLi10Zn2
1.0
5.0332 -5.6595 0.0000
5.0332 5.6595 0.0000
0.0000 0.0000 9.8724
Ba Li Zn
2 20 4
direct
0.1115 0.8885 0.7500 Ba
0.8885 0.1115 0.2500 Ba
0.1097 0.3983 0.7500 Li
0.1874 0.8126 0.0943 Li
0.1874 0.8126 0.4057 Li
0.2392 0.2392 0.0000 Li
0.2392 0.2392 0.5000 Li
0.2419 0.4790 0.2500 Li
0.3927 0.6073 0.5771 Li
0.3927 0.6073 0.9229 Li
0.3983 0.1097 0.2500 Li
0.4790 0.2419 0.7500 Li
0.5210 0.7581 0.2500 Li
0.6017 0.8903 0.7500 Li
0.6073 0.3927 0.0771 Li
0.6073 0.3927 0.4229 Li
0.7581 0.5210 0.7500 Li
0.7608 0.7608 0.0000 Li
0.7608 0.7608 0.5000 Li
0.8126 0.1874 0.5943 Li
0.8126 0.1874 0.9057 Li
0.8903 0.6017 0.2500 Li
0.0000 0.5000 0.0000 Zn
0.0000 0.5000 0.5000 Zn
0.5000 0.0000 0.0000 Zn
0.5000 0.0000 0.5000 Zn
```


No. 4
Structure and theoretical powder diffraction line list of MnCrTe2 (a cell relaxed with GGA-PBE; a wavelength of 1.5418 Å).
No peak broadening, texture or thermal motion is included.

Most intense lines, 2θ from 5° to 70°, most intense first:
two_theta  d (Å)  intensity
28.88  3.091  100.0
39.11  2.303  52.1
43.40  2.085  45.0
52.43  1.745  18.5
52.97  1.729  18.1
59.83  1.546  14.0
53.58  1.710  7.7
29.88  2.990  6.1
62.09  1.495  4.9

```
MnCrTe2
1.0
4.1703 0.0000 0.0000
-2.0851 3.6116 0.0000
0.0000 0.0000 5.9798
Mn Cr Te
1 1 2
direct
0.0000 0.0000 0.0000 Mn
0.0000 0.0000 0.5000 Cr
0.3333 0.6667 0.2562 Te
0.6667 0.3333 0.7438 Te
```


No. 5
Structure and theoretical powder diffraction line list of Nd10Tl3Pb3 (a cell relaxed with GGA-PBE; a wavelength of 1.5418 Å).
No peak broadening, texture or thermal motion is included.

Most intense lines, 2θ from 5° to 70°, most intense first:
two_theta  d (Å)  intensity
31.99  2.798  100.0
33.21  2.697  20.3
49.25  1.850  17.8
25.56  3.486  14.9
29.20  3.058  13.7
63.36  1.468  13.1
42.31  2.136  12.7
33.95  2.641  8.1
46.82  1.941  7.5
52.51  1.743  6.7

```
Nd10Tl3Pb3
1.0
9.3439 0.0000 0.0000
-4.6719 8.0920 0.0000
0.0000 0.0000 6.9713
Nd Tl Pb
10 3 3
direct
0.0000 0.2359 0.0000 Nd
0.0000 0.7607 0.5000 Nd
0.2359 0.0000 0.0000 Nd
0.2393 0.2393 0.5000 Nd
0.3333 0.6667 0.2472 Nd
0.3333 0.6667 0.7528 Nd
0.6667 0.3333 0.2472 Nd
0.6667 0.3333 0.7528 Nd
0.7607 0.0000 0.5000 Nd
0.7641 0.7641 0.0000 Nd
0.0000 0.5995 0.0000 Tl
0.4005 0.4005 0.0000 Tl
0.5995 0.0000 0.0000 Tl
0.0000 0.3966 0.5000 Pb
0.3966 0.0000 0.5000 Pb
0.6034 0.6034 0.5000 Pb
```


No. 6
Structure and theoretical powder diffraction line list of Li2ThSc2Pb2 (a cell relaxed with GGA-PBE; a wavelength of 1.5418 Å).
No peak broadening, texture or thermal motion is included.

Most intense lines, 2θ from 5° to 70°, most intense first:
two_theta  d (Å)  intensity
25.64  3.475  100.0
37.56  2.394  71.6
35.55  2.525  70.4
32.75  2.735  39.6
10.42  8.488  35.2
21.71  4.093  34.8
66.49  1.406  23.2
52.68  1.737  23.1
46.03  1.972  22.2
60.86  1.522  20.0

```
Li2ThSc2Pb2
1.0
2.3944 1.3824 8.4880
-2.3944 1.3824 8.4880
0.0000 -2.7649 8.4880
Li Th Sc Pb
2 1 2 2
direct
0.0718 0.0718 0.0718 Li
0.9282 0.9282 0.9282 Li
0.5000 0.5000 0.5000 Th
0.3668 0.3668 0.3668 Sc
0.6332 0.6332 0.6332 Sc
0.2422 0.2422 0.2422 Pb
0.7578 0.7578 0.7578 Pb
```


No. 7
Structure and theoretical powder diffraction line list of Na2NpTlCl8 (a cell relaxed with GGA-PBE; a wavelength of 1.5418 Å).
No peak broadening, texture or thermal motion is included.

Most intense lines, 2θ from 5° to 70°, most intense first:
two_theta  d (Å)  intensity
27.30  3.267  100.0
13.62  6.503  96.9
13.81  6.411  90.5
18.78  4.724  87.1
20.08  4.422  72.6
24.08  3.695  54.5
23.97  3.713  47.7
19.63  4.522  46.5
36.33  2.473  38.1
37.76  2.382  36.4

```
Na2NpTlCl8
1.0
6.4251 0.0000 0.0000
0.0000 9.0439 0.0000
-0.4299 0.0000 6.5030
Na Np Tl Cl
2 1 1 8
direct
0.0000 0.2459 0.0000 Na
0.0000 0.7541 0.0000 Na
0.5000 0.5000 0.5000 Np
0.5000 0.0000 0.5000 Tl
0.1842 0.0000 0.1790 Cl
0.2179 0.5000 0.1974 Cl
0.3009 0.2948 0.6783 Cl
0.3009 0.7052 0.6783 Cl
0.6991 0.2948 0.3217 Cl
0.6991 0.7052 0.3217 Cl
0.7821 0.5000 0.8026 Cl
0.8158 0.0000 0.8210 Cl
```


No. 8
Structure and theoretical powder diffraction line list of TaRe3 (a cell relaxed with GGA-PBE; a wavelength of 1.5418 Å).
No peak broadening, texture or thermal motion is included.

Most intense lines, 2θ from 5° to 70°, most intense first:
two_theta  d (Å)  intensity
40.21  2.243  100.0
40.92  2.206  24.3
40.56  2.224  23.4
58.98  1.566  15.8
57.36  1.606  9.0
39.20  2.298  0.9
33.27  2.693  0.8
57.68  1.598  0.6

```
TaRe3
1.0
3.2129 -4.4484 0.0000
3.2129 4.4484 0.0000
0.0000 0.0000 4.4113
Ta Re
2 6
direct
0.1309 0.8691 0.7500 Ta
0.8691 0.1309 0.2500 Ta
0.1170 0.3695 0.7500 Re
0.3695 0.1170 0.2500 Re
0.3933 0.6067 0.2500 Re
0.6067 0.3933 0.7500 Re
0.6305 0.8830 0.7500 Re
0.8830 0.6305 0.2500 Re
```